The following is a simulated powder X-ray diffraction pattern of Ba6Hf5S16. It was derived from a cell relaxed with PBE, using Cu Kα (λ = 1.5418 Å).

Peak list (8 most intense, 2θ = 5–70°, most intense first)
2θ/deg	d/Å	I (rel.)
25.0	3.562	100
25.2	3.539	59
35.9	2.503	48
44.2	2.048	45
51.3	1.781	28
35.4	2.535	22
58.3	1.584	22
43.9	2.061	20

Cell and atoms:
Cell lengths 28.108, 28.108, 28.108 Å; angles 169.78, 169.78, 14.47 degrees
Fractional coordinates of all 27 atoms:
Ba  0.045  0.045  0.000
Ba  0.133  0.133  0.000
Ba  0.218  0.218  0.000
Ba  0.782  0.782  0.000
Ba  0.867  0.867  0.000
Ba  0.955  0.955  0.000
Hf  0.319  0.319  0.000
Hf  0.410  0.410  0.000
Hf  0.500  0.500  0.000
Hf  0.590  0.590  0.000
Hf  0.681  0.681  0.000
S  0.000  0.500  0.500
S  0.090  0.590  0.500
S  0.179  0.679  0.500
S  0.274  0.274  0.000
S  0.321  0.821  0.500
S  0.365  0.365  0.000
S  0.410  0.910  0.500
S  0.455  0.455  0.000
S  0.500  0.000  0.500
S  0.545  0.545  0.000
S  0.590  0.090  0.500
S  0.635  0.635  0.000
S  0.679  0.179  0.500
S  0.726  0.726  0.000
S  0.821  0.321  0.500
S  0.910  0.410  0.500